(1)
This entry pairs a crystal structure of ZnSn2O4 with its theoretical powder X-ray diffraction pattern. Radiation: λ = 1.5418 Å (Cu Kα). Structure: the PBE geometry in the Materials Project.

Crystal structure
```
ZnSn2O4
1.0
3.2900 0.0000 0.0000
1.6351 7.6527 0.0000
1.6409 0.9546 7.9253
Zn Sn O
2 4 8
Direct
0.0000 0.0000 0.0000 Zn
0.1904 0.7441 0.8529 Zn
0.2535 0.0520 0.4629 Sn
0.4604 0.3663 0.7346 Sn
0.7631 0.3776 0.1184 Sn
0.9695 0.6921 0.3901 Sn
0.0729 0.2179 0.6582 O
0.1510 0.5262 0.1948 O
0.4039 0.2223 0.9973 O
0.4408 0.8549 0.2861 O
0.4728 0.5574 0.5176 O
0.7501 0.1866 0.3354 O
0.7836 0.8890 0.5670 O
0.8292 0.5217 0.8557 O
```

Most intense lines, 10° ≤ 2θ ≤ 80°, by angle:
d_spacing  two_theta  I_rel
3.353  26.6  100
2.922  30.6  80
2.778  32.2  47
2.749  32.6  66
2.716  33.0  61
2.689  33.3  37
2.533  35.4  39
2.124  42.6  37
1.995  45.5  40
1.645  55.9  39

---

(2)
This entry pairs a crystal structure of Ce2Zn2Cu5 with its theoretical powder X-ray diffraction pattern. Radiation: λ = 1.5418 Å (Cu Kα). Structure: the PBE geometry in the Materials Project.

Crystal structure
```
Ce2Zn2Cu5
1.0
2.6098 1.5068 12.6318
-2.6098 1.5068 12.6318
0.0000 -3.0135 12.6318
Ce Zn Cu
4 4 10
Direct
0.0558 0.0558 0.0558 Ce
0.1521 0.1521 0.1521 Ce
0.8479 0.8479 0.8479 Ce
0.9442 0.9442 0.9442 Ce
0.0000 0.5000 0.5000 Zn
0.5000 0.0000 0.5000 Zn
0.5000 0.5000 0.0000 Zn
0.5000 0.5000 0.5000 Zn
0.1109 0.6086 0.6086 Cu
0.2770 0.2770 0.2770 Cu
0.3888 0.3888 0.3888 Cu
0.3914 0.3914 0.8891 Cu
0.3914 0.8891 0.3914 Cu
0.6086 0.1109 0.6086 Cu
0.6086 0.6086 0.1109 Cu
0.6112 0.6112 0.6112 Cu
0.7230 0.7230 0.7230 Cu
0.8891 0.3914 0.3914 Cu
```

Most intense lines, 10° ≤ 2θ ≤ 80°, by angle:
d_spacing  two_theta  I_rel
2.904  30.8  29
2.740  32.7  15
2.610  34.4  37
2.256  40.0  29
2.218  40.7  100
2.105  43.0  20
2.040  44.4  10
1.495  62.1  10
1.419  65.8  23
1.305  72.4  19